(1)
Diffraction record for K2NaH10IO10. The powder XRD pattern is computed, not measured: it uses DFT lattice parameters and positions (GGA-PBE) and CuKα.

Largest 8 diffraction maxima, by angle, 5° ≤ 2θ ≤ 70°:
d (Å)  2θ (°)  I/Imax  index
6.559  13.50  73  1 0 -1
6.419  13.80  87  0 1 -1
5.463  16.22  63  0 1 1
5.120  17.32  83  1 -1 0
5.032  17.62  100  0 0 2
3.362  26.51  52  1 -1 2
3.031  29.47  57  1 2 -2
2.874  31.12  60  2 1 0

Structural model:
```
data_K2NaH10IO10
_cell_length_a 6.9378
_cell_length_b 7.3658
_cell_length_c 10.7757
_cell_angle_alpha 98.28
_cell_angle_beta 108.64
_cell_angle_gamma 92.77
_space_group_name_H-M_alt 'P -1'
_space_group_IT_number 2
_space_group_name_Hall '-P 1'
loop_
_atom_site_label
_atom_site_fract_x
_atom_site_fract_y
_atom_site_fract_z
K1 0.0646 0.2949 0.1492
K2 0.1042 0.3494 0.6321
Na1 0.2903 0.8028 0.2312
H1 0.0937 0.1096 0.3829
H2 0.1481 0.1465 0.8647
H3 0.1648 0.3579 0.9324
H4 0.3086 0.0259 0.5726
H5 0.3294 0.1274 0.3916
H6 0.3458 0.6028 0.9820
H7 0.3572 0.0222 0.0403
H8 0.3633 0.6405 0.4686
H9 0.3945 0.4751 0.3675
H10 0.4267 0.4892 0.1022
I1 0.3565 0.8270 0.7507
O1 0.0681 0.2574 0.8686
O2 0.0955 0.7449 0.6330
O3 0.2202 0.0424 0.4026
O4 0.2588 0.9581 0.8766
O5 0.3069 0.5554 0.0547
O6 0.3102 0.5807 0.3727
O7 0.3568 0.0599 0.6722
O8 0.3597 0.0654 0.1344
O9 0.3756 0.6172 0.8326
O10 0.4912 0.7259 0.6329
```

(2)
Diffraction record for K4Na2H18PdI2O20. The powder XRD pattern is computed, not measured: it uses DFT lattice parameters and positions (GGA-PBE) and CuKα.

Largest 8 diffraction maxima, by angle, 5° ≤ 2θ ≤ 70°:
d (Å)  2θ (°)  I/Imax  index
6.630  13.35  33  1 0 0
6.355  13.94  84  1 0 -1
6.223  14.23  100  0 1 -1
5.147  17.23  88  1 -1 0
4.667  19.02  39  1 1 -1
3.178  28.08  50  1 1 2
3.130  28.52  50  2 -1 0
2.881  31.04  76  1 2 -2

Structural model:
```
data_K4Na2H18PdI2O20
_cell_length_a 6.8525
_cell_length_b 7.2811
_cell_length_c 11.0002
_cell_angle_alpha 93.37
_cell_angle_beta 103.51
_cell_angle_gamma 94.71
_space_group_name_H-M_alt 'P -1'
_space_group_IT_number 2
_space_group_name_Hall '-P 1'
loop_
_atom_site_label
_atom_site_fract_x
_atom_site_fract_y
_atom_site_fract_z
K1 0.0858 0.3094 0.1273
K2 0.0954 0.3346 0.6098
Na1 0.3020 0.8224 0.2373
H1 0.0983 0.1148 0.3791
H2 0.1432 0.1418 0.8575
H3 0.1714 0.3615 0.8605
H4 0.3063 0.0154 0.5680
H5 0.3347 0.1344 0.3905
H6 0.3507 0.6127 0.9996
H7 0.3637 0.6436 0.4734
H8 0.3866 0.4901 0.3717
H9 0.4665 0.5239 0.1209
Pd1 0.5000 0.0000 0.0000
I1 0.3372 0.7977 0.7421
O1 0.0699 0.2561 0.8573
O2 0.0798 0.7356 0.6414
O3 0.2212 0.0453 0.4009
O4 0.2350 0.9341 0.8703
O5 0.3068 0.5951 0.3840
O6 0.3247 0.5789 0.8257
O7 0.3441 0.5898 0.0865
O8 0.3497 0.0421 0.6610
O9 0.4034 0.1041 0.1465
O10 0.4771 0.7008 0.6289
```

(3)
Diffraction record for K2HIO. The powder XRD pattern is computed, not measured: it uses DFT lattice parameters and positions (GGA-PBE) and CuKα.

Largest 8 diffraction maxima, by angle, 5° ≤ 2θ ≤ 70°:
d (Å)  2θ (°)  I/Imax  index
5.440  16.29  63  1 0 0
3.639  24.46  89  1 0 1
3.025  29.53  100  1 1 1
2.720  32.93  51  2 0 0
2.448  36.72  17  0 0 2
2.179  41.44  42  2 1 1
1.820  50.14  27  2 0 2
1.623  56.71  29  3 1 1

Structural model:
```
data_K2HIO
_cell_length_a 5.4404
_cell_length_b 5.4404
_cell_length_c 4.8955
_cell_angle_alpha 90.00
_cell_angle_beta 90.00
_cell_angle_gamma 90.00
_space_group_name_H-M_alt 'P 4 m m'
_space_group_IT_number 99
_space_group_name_Hall 'P 4 -2'
loop_
_atom_site_label
_atom_site_fract_x
_atom_site_fract_y
_atom_site_fract_z
K1 0.0000 0.5000 0.0000
H1 0.0000 0.0000 0.2682
I1 0.5000 0.5000 0.5091
O1 0.0000 0.0000 0.0688
```

(4)
Diffraction record for K2H2SeI2O10. The powder XRD pattern is computed, not measured: it uses DFT lattice parameters and positions (GGA-PBE) and CuKα.

Largest 8 diffraction maxima, by angle, 5° ≤ 2θ ≤ 70°:
d (Å)  2θ (°)  I/Imax  index
7.322  12.09  66  2 0 -2
5.138  17.26  68  4 0 -2
4.692  18.91  49  1 1 -1
4.018  22.12  77  1 1 1
3.436  25.93  42  2 0 2
3.233  27.59  71  6 0 -4
3.204  27.85  100  1 1 -3
2.925  30.57  92  5 1 -1

Structural model:
```
data_K2H2SeI2O10
_cell_length_a 20.5648
_cell_length_b 4.9531
_cell_length_c 14.6633
_cell_angle_alpha 90.00
_cell_angle_beta 132.53
_cell_angle_gamma 90.00
_space_group_name_H-M_alt 'C 1 2/c 1'
_space_group_IT_number 15
_space_group_name_Hall '-C 2yc'
loop_
_atom_site_label
_atom_site_fract_x
_atom_site_fract_y
_atom_site_fract_z
K1 0.0996 0.2417 0.1543
H1 0.2319 0.2549 0.1081
Se1 0.0000 0.3163 0.7500
I1 0.1596 0.1906 0.4996
O1 0.0139 0.1278 0.8565
O2 0.0898 0.4879 0.3184
O3 0.0948 0.3108 0.5329
O4 0.2228 0.0777 0.1334
O5 0.2491 0.0656 0.4126
```

(5)
Diffraction record for K2ZnH4I4O14. The powder XRD pattern is computed, not measured: it uses DFT lattice parameters and positions (GGA-PBE) and CuKα.

Largest 8 diffraction maxima, by angle, 5° ≤ 2θ ≤ 70°:
d (Å)  2θ (°)  I/Imax  index
5.650  15.69  60  2 0 0
4.152  21.40  33  2 0 -2
3.959  22.46  38  0 2 0
3.373  26.42  67  0 0 2
3.319  26.86  59  4 0 -2
3.242  27.51  100  2 2 0
2.865  31.21  49  2 2 -2
2.024  44.79  25  2 2 2

Structural model:
```
data_K2ZnH4I4O14
_cell_length_a 13.9097
_cell_length_b 7.9185
_cell_length_c 8.3057
_cell_angle_alpha 90.00
_cell_angle_beta 125.68
_cell_angle_gamma 90.00
_space_group_name_H-M_alt 'C 1 2 1'
_space_group_IT_number 5
_space_group_name_Hall 'C 2y'
loop_
_atom_site_label
_atom_site_fract_x
_atom_site_fract_y
_atom_site_fract_z
K1 0.0000 0.0000 0.0000
K2 0.0000 0.4767 0.0000
Zn1 0.0000 0.5437 0.5000
H1 0.0474 0.8718 0.6263
H2 0.0504 0.2195 0.4748
I1 0.2223 0.7174 0.4799
I2 0.2368 0.7307 0.9809
O1 0.0000 0.2889 0.5000
O2 0.0000 0.8047 0.5000
O3 0.1247 0.5676 0.8288
O4 0.1348 0.1200 0.4249
O5 0.1409 0.9180 0.8633
O6 0.1421 0.5239 0.4647
O7 0.1577 0.7367 0.2147
O8 0.1816 0.2395 0.1309
```